# AlCoO6F6
Calculated powder diffraction line list, Cu Kα, 1.54184 Å. Input: the PBE+U geometry in the Materials Project.

Structure:
```
data_AlCoO6F6
_chemical_formula_sum 'Al2 Co2 O12 F12'
_space_group_name_H-M_alt 'P 1'
_space_group_IT_number 1
_cell_length_a 7.967
_cell_length_b 7.967
_cell_length_c 5.533
_cell_angle_alpha 91.78
_cell_angle_beta 91.78
_cell_angle_gamma 100.32
loop_
_space_group_symop_operation_xyz
'x,y,z'
loop_
_atom_site_label
_atom_site_type_symbol
_atom_site_fract_x
_atom_site_fract_y
_atom_site_fract_z
Al1 Al 0.000 0.500 0.000
Al2 Al 0.500 0.000 0.000
Co1 Co 0.000 0.000 0.500
Co2 Co 0.500 0.500 0.500
O1 O 0.113 0.113 0.751
O2 O 0.147 0.147 0.324
O3 O 0.149 0.851 0.500
O4 O 0.271 0.469 0.542
O5 O 0.456 0.456 0.186
O6 O 0.469 0.271 0.542
O7 O 0.531 0.729 0.458
O8 O 0.544 0.544 0.814
O9 O 0.729 0.531 0.458
O10 O 0.851 0.149 0.500
O11 O 0.853 0.853 0.676
O12 O 0.887 0.887 0.249
F1 F 0.030 0.713 0.873
F2 F 0.086 0.594 0.291
F3 F 0.216 0.480 0.917
F4 F 0.287 0.970 0.127
F5 F 0.406 0.914 0.709
F6 F 0.480 0.216 0.917
F7 F 0.520 0.784 0.083
F8 F 0.594 0.086 0.291
F9 F 0.713 0.030 0.873
F10 F 0.784 0.520 0.083
F11 F 0.914 0.406 0.709
F12 F 0.970 0.287 0.127
```

The 8 most intense peaks (5° ≤ 2θ ≤ 70°), low angle first:
2θ (°)  I/Imax
21.67  85
22.70  100
23.16  32
24.32  43
37.59  39
40.66  22
41.01  18
53.72  19

# Li3Fe5OF11
Calculated powder diffraction line list, Cu Kα, 1.54184 Å. Input: the PBE+U geometry in the Materials Project.

Structure:
```
data_Li3Fe5OF11
_chemical_formula_sum 'Li3 Fe5 O1 F11'
_space_group_name_H-M_alt 'P 1'
_space_group_IT_number 1
_cell_length_a 5.304
_cell_length_b 5.676
_cell_length_c 9.225
_cell_angle_alpha 74.33
_cell_angle_beta 89.82
_cell_angle_gamma 62.81
loop_
_space_group_symop_operation_xyz
'x,y,z'
loop_
_atom_site_label
_atom_site_type_symbol
_atom_site_fract_x
_atom_site_fract_y
_atom_site_fract_z
Li1 Li 0.000 0.000 0.000
Li2 Li 0.046 0.226 0.348
Li3 Li 0.479 0.498 0.479
Fe1 Fe 0.255 0.268 0.752
Fe2 Fe 0.304 0.509 0.090
Fe3 Fe 0.529 0.734 0.850
Fe4 Fe 0.750 0.739 0.251
Fe5 Fe 0.792 0.998 0.592
O1 O 0.296 0.595 0.900
F1 F 0.197 0.518 0.289
F2 F 0.240 0.149 0.951
F3 F 0.249 0.852 0.639
F4 F 0.317 0.909 0.216
F5 F 0.342 0.251 0.543
F6 F 0.697 0.975 0.792
F7 F 0.746 0.652 0.457
F8 F 0.760 0.336 0.151
F9 F 0.796 0.099 0.394
F10 F 0.801 0.385 0.697
F11 F 0.834 0.757 0.050
```

The 8 most intense peaks (5° ≤ 2θ ≤ 70°), low angle first:
2θ (°)  I/Imax
18.14  48
20.22  53
23.60  44
25.78  56
31.69  100
36.76  47
38.54  55
49.52  53